The following is a computed X-ray diffraction stick pattern of Na2MnZn2O4. It was derived from the PBE+U geometry in Alexandria, using CuKα.
Peak positions follow from Bragg's law for the DFT cell and can differ from measured ones.

The 12 most intense peaks (10 to 90 degrees two-theta), by intensity:
2theta  I (rel.)
16.03  100
37.85  54
34.56  45
42.58  30
22.11  17
43.61  16
35.64  15
56.10  14
57.89  13
52.27  12
50.91  11
33.74  10

Atomic structure:
a b c (Å): 5.800 5.800 8.167
angles (deg): 124.54 124.54 32.84
Atoms (fractional coordinates):
Na 0.184 0.184 0.303
Na 0.816 0.816 0.697
Mn 0.000 0.000 0.500
Zn 0.367 0.367 0.136
Zn 0.633 0.633 0.864
O 0.236 0.236 0.833
O 0.434 0.434 0.617
O 0.566 0.566 0.383
O 0.764 0.764 0.167